1.
Starting from a structure optimized by DFT (PBE), the X-ray powder pattern of BaAsIN2 was simulated for Cu Kα, 1.54184 Å.
Intensities are scaled so that the largest is 100.

Most intense lines, 2θ = 10–90°, low angle first:
two_theta	intensity
15.57	48
28.14	100
31.44	53
32.32	64
40.22	53
42.70	65
51.92	49
74.81	26

Cell and atoms:
abc: 4.4843 4.4843 5.6899
angles: 90.00 90.00 90.00
Positions (direct):
Ba1 0.0000 0.0000 0.0000
As1 0.5000 0.5000 0.5000
I1 0.5000 0.5000 0.0000
N1 0.0000 0.5000 0.5000
N2 0.5000 0.0000 0.5000

---

2.
Starting from a structure optimized by DFT (PBE), the X-ray powder pattern of Pm4Tl3Hg was simulated for Cu Kα, 1.54184 Å.
Intensities are scaled so that the largest is 100.

Most intense lines, 2θ = 10–90°, low angle first:
two_theta	intensity
32.69	100
32.87	49
46.64	9
47.17	18
58.23	19
58.57	38
68.51	12
78.44	17

Cell and atoms:
abc: 5.4496 5.4496 15.5799
angles: 90.00 90.00 90.00
Positions (direct):
Pm1 0.0000 0.5000 0.1232
Pm2 0.0000 0.5000 0.3768
Pm3 0.0000 0.5000 0.6232
Pm4 0.0000 0.5000 0.8768
Pm5 0.5000 0.0000 0.1232
Pm6 0.5000 0.0000 0.3768
Pm7 0.5000 0.0000 0.6232
Pm8 0.5000 0.0000 0.8768
Tl1 0.0000 0.0000 0.0000
Tl2 0.0000 0.0000 0.2517
Tl3 0.0000 0.0000 0.7483
Tl4 0.5000 0.5000 0.2483
Tl5 0.5000 0.5000 0.5000
Tl6 0.5000 0.5000 0.7517
Hg1 0.0000 0.0000 0.5000
Hg2 0.5000 0.5000 0.0000